Simulated X-ray powder pattern
Compound: Sr2ZnGaN
Radiation: Cu Kα (λ = 1.5418 Å)
Structure: a DFT-relaxed cell (GGA-PBE, Alexandria)

Atomic structure:
```
Sr2ZnGaN
1.0
7.5775 0.0000 0.0000
0.0000 3.8676 0.0000
-3.4571 0.0000 8.3576
Sr Zn Ga N
4 2 2 2
direct
0.1844 0.2500 0.3749
0.1896 0.2500 0.9757
0.8104 0.7500 0.0243
0.8156 0.7500 0.6251
0.4526 0.7500 0.2628
0.5474 0.2500 0.7372
0.3107 0.7500 0.7188
0.6893 0.2500 0.2812
0.1729 0.7500 0.1756
0.8271 0.2500 0.8244
```

Principal peaks in the range 10° ≤ 2θ ≤ 90°, sorted by position:
2θ (°)  I (rel.)
25.4  31.2
26.2  47.0
28.8  45.5
30.8  100.0
31.5  39.4
32.1  31.7
33.1  29.9
34.6  63.5
35.2  27.2
47.0  34.7



Simulated X-ray powder pattern
Compound: Ac4Si2Se
Radiation: Cu Kα (λ = 1.5418 Å)
Structure: a DFT-relaxed cell (GGA-PBE, Alexandria)

Atomic structure:
```
Ac4Si2Se
1.0
-4.8118 4.8118 4.8289
4.8118 -4.8118 4.8289
4.8118 4.8118 -4.8289
Ac Si Se
8 4 2
direct
0.1301 0.2437 0.7458
0.1344 0.7480 0.7542
0.2520 0.0063 0.3864
0.4980 0.3844 0.2542
0.6156 0.8699 0.1136
0.6199 0.8656 0.6136
0.7563 0.5020 0.8864
0.9937 0.3801 0.2458
0.2468 0.6250 0.1218
0.3750 0.4968 0.6218
0.5032 0.1250 0.8782
0.8750 0.7532 0.3782
0.0000 0.0000 0.0000
0.7500 0.2500 0.5000
```

Principal peaks in the range 10° ≤ 2θ ≤ 90°, sorted by position:
2θ (°)  I (rel.)
22.6  46.0
26.2  33.6
29.3  100.0
34.8  65.4
46.2  26.5
48.1  17.0
48.2  36.9
59.2  15.8
60.9  11.0
62.4  13.3